Structure and computed powder XRD pattern of Li2CoNi3O8 (a DFT-relaxed cell (PBE+U, Alexandria); a wavelength of 1.5418 Å).

Most intense lines, 2θ = 10–90°, by angle:
two_theta, d_spacing, I_rel, h k l
19.0, 4.662, 100, 1 1 1
36.6, 2.456, 16, 1 1 3
37.1, 2.424, 31, 3 1 1
38.6, 2.331, 15, 2 2 2
44.3, 2.044, 17, 0 0 4
45.2, 2.007, 33, 4 0 0
49.1, 1.857, 7, 3 1 3
58.8, 1.571, 6, 1 1 5
59.8, 1.546, 12, 5 1 1
65.2, 1.432, 20, 4 0 4
65.8, 1.419, 10, 4 4 0
82.8, 1.165, 8, 4 4 4

Structural model:
```
Li2CoNi3O8
1.0
8.0263 0.0000 0.0000
0.0000 8.0263 0.0000
0.0000 0.0000 8.1742
Li Co Ni O
8 4 12 32
Cartesian
0.0195 1.9749 3.0532 Li
1.9749 0.0195 5.1210 Li
2.0383 4.0327 1.0097 Li
3.9936 5.9880 3.0774 Li
4.0327 2.0383 7.1645 Li
5.9880 3.9936 5.0968 Li
6.0514 8.0068 1.0339 Li
8.0068 6.0514 7.1404 Li
1.0223 1.0223 0.0000 Co
2.9909 5.0354 6.1307 Co
5.0354 2.9909 2.0436 Co
7.0040 7.0040 4.0871 Co
0.9786 5.0088 4.1330 Ni
0.9956 3.0345 6.1766 Ni
1.0165 7.0098 2.0436 Ni
2.9967 2.9967 4.0871 Ni
3.0175 7.0477 8.1283 Ni
3.0345 0.9956 1.9976 Ni
4.9918 7.0307 6.0848 Ni
5.0088 0.9786 4.0412 Ni
5.0296 5.0296 0.0000 Ni
7.0098 1.0165 6.1307 Ni
7.0307 4.9918 2.0895 Ni
7.0477 3.0175 0.0459 Ni
0.8655 6.8664 4.0965 O
0.8937 2.9449 8.0639 O
0.9032 1.1594 6.2828 O
0.9056 5.0894 2.2369 O
1.0683 4.9068 6.0204 O
1.0763 3.1075 4.2805 O
1.1594 0.9032 1.8915 O
1.1599 7.1608 8.1648 O
2.8532 3.1476 6.1401 O
2.8538 4.9164 4.2392 O
2.9369 7.1207 1.8502 O
2.9449 0.8937 0.1103 O
3.1075 1.0763 3.8937 O
3.1099 5.1725 8.0221 O
3.1195 6.9580 6.2410 O
3.1476 2.8532 2.0342 O
4.8787 5.1731 6.1213 O
4.9068 1.0683 2.1539 O
4.9164 2.8538 3.9350 O
4.9188 6.9500 7.9808 O
5.0815 7.1326 4.1974 O
5.0894 0.9056 5.9373 O
5.1725 3.1099 0.1521 O
5.1731 4.8787 2.0530 O
6.8664 0.8655 4.0777 O
6.8669 7.1231 5.9786 O
6.9500 4.9188 0.1934 O
6.9580 3.1195 1.9333 O
7.1207 2.9369 6.3241 O
7.1231 6.8669 2.1957 O
7.1326 5.0815 3.9768 O
7.1608 1.1599 0.0094 O
```